Starting from a structure optimized by DFT (PBE+U), the X-ray powder pattern of FeCo3O8 was calculated for Cu Kα (λ = 1.5418 Å).
Neutral-atom scattering factors, no anomalous dispersion.

Peak list (6 most intense, 2θ from 10° to 90°, by angle)
2θ (°)	I (rel.)
17.8	100
36.5	28
43.7	39
56.8	15
64.7	11
67.8	12

Crystal structure
Lattice parameters (Å, degrees): 5.9838 5.9838 5.9838 57.53 57.53 57.53
Atoms (fractional coordinates):
1 Fe 0.0000 0.0000 0.0000
2 Co 0.0000 0.5000 0.5000
3 Co 0.5000 0.0000 0.5000
4 Co 0.5000 0.5000 0.0000
5 O 0.2368 0.2368 0.7170
6 O 0.2368 0.7170 0.2368
7 O 0.2700 0.2700 0.2700
8 O 0.2830 0.7632 0.7632
9 O 0.7170 0.2368 0.2368
10 O 0.7300 0.7300 0.7300
11 O 0.7632 0.2830 0.7632
12 O 0.7632 0.7632 0.2830

---

Starting from a structure optimized by DFT (PBE+U), the X-ray powder pattern of Fe3Co5O16 was calculated for Cu Kα (λ = 1.5418 Å).
Neutral-atom scattering factors, no anomalous dispersion.

Peak list (6 most intense, 2θ from 10° to 90°, by angle)
2θ (°)	I (rel.)
17.8	100
36.7	9
36.9	18
43.6	13
44.0	26
57.1	10

Crystal structure
Lattice parameters (Å, degrees): 5.2648 2.8517 18.8223 90.00 93.35 90.00
Atoms (fractional coordinates):
1 Fe 0.0000 0.0000 0.0000
2 Fe 0.1289 0.5000 0.8730
3 Fe 0.8711 0.5000 0.1270
4 Co 0.2546 0.0000 0.7474
5 Co 0.3772 0.5000 0.6237
6 Co 0.5000 0.0000 0.5000
7 Co 0.6228 0.5000 0.3763
8 Co 0.7454 0.0000 0.2526
9 O 0.0032 0.0000 0.1860
10 O 0.1221 0.5000 0.6902
11 O 0.1322 0.5000 0.0585
12 O 0.2454 0.0000 0.5666
13 O 0.2652 0.0000 0.9324
14 O 0.3682 0.5000 0.4428
15 O 0.3855 0.5000 0.8041
16 O 0.4910 0.0000 0.3191
17 O 0.5090 0.0000 0.6809
18 O 0.6145 0.5000 0.1959
19 O 0.6318 0.5000 0.5572
20 O 0.7348 0.0000 0.0676
21 O 0.7546 0.0000 0.4334
22 O 0.8678 0.5000 0.9415
23 O 0.8779 0.5000 0.3098
24 O 0.9968 0.0000 0.8140

---

Starting from a structure optimized by DFT (PBE+U), the X-ray powder pattern of Fe2CoO3 was calculated for Cu Kα (λ = 1.5418 Å).
Neutral-atom scattering factors, no anomalous dispersion.

Peak list (6 most intense, 2θ from 10° to 90°, by angle)
2θ (°)	I (rel.)
35.6	100
40.3	53
40.8	51
42.8	44
58.7	31
60.3	28

Crystal structure
Lattice parameters (Å, degrees): 7.0320 3.0585 7.0630 76.90 25.06 78.04
Atoms (fractional coordinates):
1 Fe 0.1655 0.8345 0.1655
2 Fe 0.8345 0.1655 0.8345
3 Co 0.4916 0.4916 0.5084
4 O 0.3342 0.6649 0.3351
5 O 0.6649 0.3342 0.6658
6 O 0.9893 0.9893 0.0107

---

Starting from a structure optimized by DFT (PBE+U), the X-ray powder pattern of FeCo2O6 was calculated for Cu Kα (λ = 1.5418 Å).
Neutral-atom scattering factors, no anomalous dispersion.

Peak list (6 most intense, 2θ from 10° to 90°, by angle)
2θ (°)	I (rel.)
17.9	100
37.2	24
40.1	14
45.6	25
59.6	14
65.0	16

Crystal structure
Lattice parameters (Å, degrees): 4.9840 4.9840 9.9197 90.00 90.00 60.78
Atoms (fractional coordinates):
1 Fe 0.0000 0.0000 0.0000
2 Fe 0.5000 0.5000 0.5000
3 Co 0.1641 0.1641 0.5000
4 Co 0.3359 0.3359 0.0000
5 Co 0.6641 0.6641 0.0000
6 Co 0.8359 0.8359 0.5000
7 O 0.0024 0.6608 0.9057
8 O 0.1456 0.8544 0.5992
9 O 0.1608 0.5024 0.4057
10 O 0.3392 0.9976 0.9057
11 O 0.3544 0.6456 0.0992
12 O 0.4976 0.8392 0.4057
13 O 0.5024 0.1608 0.5943
14 O 0.6456 0.3544 0.9008
15 O 0.6608 0.0024 0.0943
16 O 0.8392 0.4976 0.5943
17 O 0.8544 0.1456 0.4008
18 O 0.9976 0.3392 0.0943

---

Starting from a structure optimized by DFT (PBE+U), the X-ray powder pattern of Fe6CoO8 was calculated for Cu Kα (λ = 1.5418 Å).
Neutral-atom scattering factors, no anomalous dispersion.

Peak list (6 most intense, 2θ from 10° to 90°, by angle)
2θ (°)	I (rel.)
22.7	24
25.8	67
34.3	29
34.5	30
40.6	51
42.0	100

Crystal structure
Lattice parameters (Å, degrees): 5.5227 5.6045 6.9089 91.25 90.34 118.65
Atoms (fractional coordinates):
1 Fe 0.0166 0.1397 0.2951
2 Fe 0.3726 0.4934 0.6988
3 Fe 0.3828 0.8788 0.2988
4 Fe 0.6172 0.1212 0.7012
5 Fe 0.6274 0.5066 0.3012
6 Fe 0.9834 0.8603 0.7049
7 Co 0.0000 0.5000 0.0000
8 O 0.0120 0.2237 0.7893
9 O 0.2852 0.7795 0.7873
10 O 0.3088 0.5045 0.1817
11 O 0.3522 0.2089 0.4923
12 O 0.6478 0.7911 0.5077
13 O 0.6912 0.4955 0.8183
14 O 0.7148 0.2205 0.2127
15 O 0.9880 0.7763 0.2107

---

Starting from a structure optimized by DFT (PBE+U), the X-ray powder pattern of FeCoPO2 was calculated for Cu Kα (λ = 1.5418 Å).
Neutral-atom scattering factors, no anomalous dispersion.

Peak list (6 most intense, 2θ from 10° to 90°, by angle)
2θ (°)	I (rel.)
30.9	100
34.7	62
38.0	58
49.8	49
52.3	38
64.3	41

Crystal structure
Lattice parameters (Å, degrees): 3.6587 3.6587 4.7416 90.00 90.00 90.00
Atoms (fractional coordinates):
1 Fe 0.0000 0.0000 0.0000
2 Co 0.5000 0.5000 0.5000
3 P 0.5000 0.5000 0.0000
4 O 0.0000 0.5000 0.5000
5 O 0.5000 0.0000 0.5000

---

Starting from a structure optimized by DFT (PBE+U), the X-ray powder pattern of Fe2CoP3O12 was calculated for Cu Kα (λ = 1.5418 Å).
Neutral-atom scattering factors, no anomalous dispersion.

Peak list (6 most intense, 2θ from 10° to 90°, by angle)
2θ (°)	I (rel.)
20.5	93
24.4	100
33.6	75
36.0	44
48.2	31
50.1	30

Crystal structure
Lattice parameters (Å, degrees): 8.4068 8.4068 8.4068 61.93 61.93 61.93
Atoms (fractional coordinates):
1 Fe 0.1450 0.1450 0.1450
2 Fe 0.3550 0.3550 0.3550
3 Fe 0.6450 0.6450 0.6450
4 Fe 0.8550 0.8550 0.8550
5 Co 0.0000 0.0000 0.0000
6 Co 0.5000 0.5000 0.5000
7 P 0.0474 0.7500 0.4526
8 P 0.2500 0.5474 0.9526
9 P 0.4526 0.0474 0.7500
10 P 0.5474 0.9526 0.2500
11 P 0.7500 0.4526 0.0474
12 P 0.9526 0.2500 0.5474
13 O 0.0045 0.8236 0.6074
14 O 0.0626 0.9039 0.2491
15 O 0.0961 0.7509 0.9374
16 O 0.1074 0.3236 0.5045
17 O 0.1764 0.3926 0.9955
18 O 0.2491 0.0626 0.9039
19 O 0.2509 0.5961 0.4374
20 O 0.3236 0.5045 0.1074
21 O 0.3926 0.9955 0.1764
22 O 0.4039 0.5626 0.7491
23 O 0.4374 0.2509 0.5961
24 O 0.4955 0.8926 0.6764
25 O 0.5045 0.1074 0.3236
26 O 0.5626 0.7491 0.4039
27 O 0.5961 0.4374 0.2509
28 O 0.6074 0.0045 0.8236
29 O 0.6764 0.4955 0.8926
30 O 0.7491 0.4039 0.5626
31 O 0.7509 0.9374 0.0961
32 O 0.8236 0.6074 0.0045
33 O 0.8926 0.6764 0.4955
34 O 0.9039 0.2491 0.0626
35 O 0.9374 0.0961 0.7509
36 O 0.9955 0.1764 0.3926

---

Starting from a structure optimized by DFT (PBE+U), the X-ray powder pattern of Fe3CoSb2P6O24 was calculated for Cu Kα (λ = 1.5418 Å).
Neutral-atom scattering factors, no anomalous dispersion.

Peak list (6 most intense, 2θ from 10° to 90°, by angle)
2θ (°)	I (rel.)
20.5	100
23.8	59
32.0	93
35.8	38
48.8	33
62.0	24

Crystal structure
Lattice parameters (Å, degrees): 8.8772 8.8772 8.8772 58.57 58.57 58.57
Atoms (fractional coordinates):
1 Fe 0.0000 0.0000 0.0000
2 Fe 0.2032 0.2032 0.2032
3 Fe 0.7009 0.7009 0.7009
4 Co 0.5052 0.5052 0.5052
5 Sb 0.3641 0.3641 0.3641
6 Sb 0.8555 0.8555 0.8555
7 P 0.0982 0.8085 0.3889
8 P 0.3058 0.5989 0.8885
9 P 0.3889 0.0982 0.8085
10 P 0.5989 0.8885 0.3058
11 P 0.8085 0.3889 0.0982
12 P 0.8885 0.3058 0.5989
13 O 0.0531 0.8361 0.2297
14 O 0.0758 0.2832 0.4344
15 O 0.1118 0.7701 0.9064
16 O 0.1521 0.9634 0.3543
17 O 0.2297 0.0531 0.8361
18 O 0.2711 0.6153 0.4089
19 O 0.2832 0.4344 0.0758
20 O 0.3329 0.5543 0.7276
21 O 0.3543 0.1521 0.9634
22 O 0.4089 0.2711 0.6153
23 O 0.4344 0.0758 0.2832
24 O 0.4600 0.6568 0.8498
25 O 0.5543 0.7276 0.3329
26 O 0.5801 0.9347 0.7812
27 O 0.6153 0.4089 0.2711
28 O 0.6568 0.8498 0.4600
29 O 0.7276 0.3329 0.5543
30 O 0.7701 0.9064 0.1118
31 O 0.7812 0.5801 0.9347
32 O 0.8361 0.2297 0.0531
33 O 0.8498 0.4600 0.6568
34 O 0.9064 0.1118 0.7701
35 O 0.9347 0.7812 0.5801
36 O 0.9634 0.3543 0.1521

---

Starting from a structure optimized by DFT (PBE+U), the X-ray powder pattern of Fe3Co2SnP6O24 was calculated for Cu Kα (λ = 1.5418 Å).
Neutral-atom scattering factors, no anomalous dispersion.

Peak list (6 most intense, 2θ from 10° to 90°, by angle)
2θ (°)	I (rel.)
20.5	100
24.3	80
33.3	72
35.9	44
47.7	30
49.7	28

Crystal structure
Lattice parameters (Å, degrees): 8.5010 8.5010 8.5010 61.36 61.36 61.36
Atoms (fractional coordinates):
1 Fe 0.0000 0.0000 0.0000
2 Fe 0.2090 0.2090 0.2090
3 Fe 0.7109 0.7109 0.7109
4 Co 0.3498 0.3498 0.3498
5 Co 0.8556 0.8556 0.8556
6 Sn 0.4979 0.4979 0.4979
7 P 0.1009 0.8121 0.4018
8 P 0.3058 0.6071 0.9041
9 P 0.4018 0.1009 0.8121
10 P 0.6071 0.9041 0.3058
11 P 0.8121 0.4018 0.1009
12 P 0.9041 0.3058 0.6071
13 O 0.0305 0.8533 0.2479
14 O 0.1018 0.2936 0.4479
15 O 0.1058 0.7615 0.9198
16 O 0.1766 0.9630 0.3595
17 O 0.2479 0.0305 0.8533
18 O 0.2593 0.6088 0.4133
19 O 0.2936 0.4479 0.1018
20 O 0.3395 0.5359 0.7512
21 O 0.3595 0.1766 0.9630
22 O 0.4133 0.2593 0.6088
23 O 0.4479 0.1018 0.2936
24 O 0.4646 0.6747 0.8548
25 O 0.5359 0.7512 0.3395
26 O 0.6033 0.9483 0.7938
27 O 0.6088 0.4133 0.2593
28 O 0.6747 0.8548 0.4646
29 O 0.7512 0.3395 0.5359
30 O 0.7615 0.9198 0.1058
31 O 0.7938 0.6033 0.9483
32 O 0.8533 0.2479 0.0305
33 O 0.8548 0.4646 0.6747
34 O 0.9198 0.1058 0.7615
35 O 0.9483 0.7938 0.6033
36 O 0.9630 0.3595 0.1766

---

Starting from a structure optimized by DFT (PBE+U), the X-ray powder pattern of V2Fe3CoP6O24 was calculated for Cu Kα (λ = 1.5418 Å).
Neutral-atom scattering factors, no anomalous dispersion.

Peak list (6 most intense, 2θ from 10° to 90°, by angle)
2θ (°)	I (rel.)
20.6	81
24.4	100
33.5	70
36.0	39
48.0	25
50.0	27

Crystal structure
Lattice parameters (Å, degrees): 8.4347 8.4347 8.4347 61.64 61.64 61.64
Atoms (fractional coordinates):
1 V 0.0000 0.0000 0.0000
2 V 0.4974 0.4974 0.4974
3 Fe 0.1456 0.1456 0.1456
4 Fe 0.6446 0.6446 0.6446
5 Fe 0.8535 0.8535 0.8535
6 Co 0.3518 0.3518 0.3518
7 P 0.0457 0.7488 0.4524
8 P 0.2501 0.5461 0.9540
9 P 0.4524 0.0457 0.7488
10 P 0.5461 0.9540 0.2501
11 P 0.7488 0.4524 0.0457
12 P 0.9540 0.2501 0.5461
13 O 0.9997 0.1742 0.3929
14 O 0.0035 0.8213 0.6073
15 O 0.0609 0.9051 0.2502
16 O 0.0953 0.7489 0.9391
17 O 0.1084 0.3240 0.5061
18 O 0.1742 0.3929 0.9997
19 O 0.2474 0.5933 0.4372
20 O 0.2502 0.0609 0.9051
21 O 0.3240 0.5061 0.1084
22 O 0.3929 0.9997 0.1742
23 O 0.4050 0.5581 0.7519
24 O 0.4372 0.2474 0.5933
25 O 0.4935 0.8907 0.6774
26 O 0.5061 0.1084 0.3240
27 O 0.5581 0.7519 0.4050
28 O 0.5933 0.4372 0.2474
29 O 0.6073 0.0035 0.8213
30 O 0.6774 0.4935 0.8907
31 O 0.7489 0.9391 0.0953
32 O 0.7519 0.4050 0.5581
33 O 0.8213 0.6073 0.0035
34 O 0.8907 0.6774 0.4935
35 O 0.9051 0.2502 0.0609
36 O 0.9391 0.0953 0.7489